Entry 1:
Structure and calculated XRD peak list of CaPdS (the PBE geometry in Alexandria; Cu Ka).
No peak broadening, texture or thermal motion is included.

Structural model:
Lattice parameters (Å, degrees): 3.8124 4.2268 7.2861 90.00 90.00 90.00
Space group Amm2 (No. 38)
Unique sites:
Ca1 0.0000 0.0000 0.0000
Pd1 0.5000 0.0000 0.6671
S1 0.5000 0.0000 0.3323

Most intense lines, 10 to 90 degrees two-theta, by angle:
Position (°2θ)  intensity
23.33  26.1
24.37  34.1
34.00  100.0
42.79  16.9
42.95  33.3
66.12  17.4

Entry 2:
Structure and calculated XRD peak list of Sr3CaRh (the PBE geometry in Alexandria; Cu Ka).
No peak broadening, texture or thermal motion is included.

Structural model:
Lattice parameters (Å, degrees): 7.8195 7.4379 14.2595 90.00 90.20 90.00
Space group P2/c (No. 13)
Unique sites:
Sr1 0.1113 0.2243 0.4591
Sr2 0.2517 0.0431 0.2114
Sr3 0.3735 0.2637 0.9485
Ca1 0.2088 0.4337 0.7101
Rh1 0.0529 0.1776 0.8496

Most intense lines, 10 to 90 degrees two-theta, by angle:
Position (°2θ)  intensity
11.32  96.9
26.52  93.5
27.04  85.5
27.48  75.0
31.99  62.4
35.61  100.0

Entry 3:
Structure and calculated XRD peak list of PmSm2Dy9 (the PBE geometry in Alexandria; Cu Ka).
No peak broadening, texture or thermal motion is included.

Structural model:
Lattice parameters (Å, degrees): 11.2744 11.2744 3.5113 90.00 90.00 120.00
Space group P6/mmm (No. 191)
Unique sites:
Pm1 0.0000 0.0000 0.0000
Sm1 0.3333 0.6667 0.0000
Dy1 0.0000 0.5000 0.0000
Dy2 0.1758 0.3516 0.5000

Most intense lines, 10 to 90 degrees two-theta, by angle:
Position (°2θ)  intensity
29.98  24.2
31.38  54.6
31.75  100.0
45.24  19.1
56.32  19.5
62.31  29.8